No. 1
Calculated powder diffraction line list
Compound: PuNp5As6
Radiation: Cu Kα (weighted mean of Kα1 and Kα2)
Structure: the PBE geometry in Alexandria

Top 6 peaks for 10 to 80 degrees two-theta, by angle:
Position (°2θ)  I (rel.)
26.66  35
30.78  100
43.85  38
44.31  37
54.92  20
72.46  18

Cell and atoms:
```
PuNp5As6
1.0
3.541 -6.134 0.000
3.541 6.134 0.000
-2.361 0.000 6.776
Pu Np As
1 5 6
direct
0.000 0.000 0.000
0.166 0.834 0.500
0.333 0.667 0.000
0.500 0.500 0.500
0.667 0.333 0.000
0.834 0.166 0.500
0.084 0.419 0.251
0.252 0.252 0.750
0.419 0.084 0.251
0.581 0.916 0.749
0.748 0.748 0.250
0.916 0.581 0.749
```

---

No. 2
Calculated powder diffraction line list
Compound: YPuNp2As4
Radiation: Cu Kα (weighted mean of Kα1 and Kα2)
Structure: the PBE geometry in Alexandria

Top 6 peaks for 10 to 80 degrees two-theta, by angle:
Position (°2θ)  I (rel.)
26.46  18
26.57  18
30.71  100
43.94  25
44.07  38
54.73  13

Cell and atoms:
```
YPuNp2As4
1.0
7.125 0.000 0.000
0.000 4.105 0.000
-2.360 0.000 6.747
Y Pu Np As
1 1 2 4
direct
0.000 0.000 0.000
0.500 0.500 0.000
0.000 0.500 0.500
0.500 0.000 0.500
0.250 0.000 0.748
0.252 0.500 0.253
0.748 0.500 0.747
0.750 0.000 0.252
```

---

No. 3
Calculated powder diffraction line list
Compound: Y2PuNpAs4
Radiation: Cu Kα (weighted mean of Kα1 and Kα2)
Structure: the PBE geometry in Alexandria

Top 6 peaks for 10 to 80 degrees two-theta, by angle:
Position (°2θ)  I (rel.)
13.17  20
26.50  23
30.69  100
43.95  75
54.60  20
72.49  17

Cell and atoms:
```
Y2PuNpAs4
1.0
7.129 0.000 0.000
0.000 4.116 0.000
-2.379 0.000 6.741
Y Pu Np As
2 1 1 4
direct
0.000 0.000 0.000
0.000 0.500 0.500
0.500 0.000 0.500
0.500 0.500 0.000
0.252 0.000 0.753
0.253 0.500 0.249
0.747 0.500 0.751
0.748 0.000 0.247
```

---

No. 4
Calculated powder diffraction line list
Compound: Rb3Np2Te6As
Radiation: Cu Kα (weighted mean of Kα1 and Kα2)
Structure: the PBE geometry in Alexandria

Top 6 peaks for 10 to 80 degrees two-theta, by angle:
Position (°2θ)  I (rel.)
10.48  38
26.60  100
33.59  18
36.37  32
39.52  38
48.27  19

Cell and atoms:
```
Rb3Np2Te6As
1.0
3.949 -6.842 0.000
3.949 6.842 0.000
-2.643 0.000 8.441
Rb Np Te As
3 2 6 1
direct
0.000 0.000 0.000
0.331 0.669 0.000
0.669 0.331 0.000
0.166 0.834 0.500
0.834 0.166 0.500
0.118 0.436 0.308
0.246 0.246 0.693
0.436 0.118 0.308
0.564 0.882 0.692
0.754 0.754 0.307
0.882 0.564 0.692
0.500 0.500 0.500
```

---

No. 5
Calculated powder diffraction line list
Compound: Np4As6Ru7
Radiation: Cu Kα (weighted mean of Kα1 and Kα2)
Structure: the PBE geometry in Alexandria

Top 6 peaks for 10 to 80 degrees two-theta, by angle:
Position (°2θ)  I (rel.)
21.29  16
30.28  46
37.31  100
43.36  60
62.99  34
75.55  30

Cell and atoms:
```
Np4As6Ru7
1.0
-4.174 4.174 4.174
4.174 -4.174 4.174
4.174 4.174 -4.174
Np As Ru
4 6 7
direct
0.000 0.000 0.500
0.000 0.500 0.000
0.500 0.000 0.000
0.500 0.500 0.500
0.000 0.310 0.310
0.000 0.690 0.690
0.310 0.000 0.310
0.310 0.310 0.000
0.690 0.000 0.690
0.690 0.690 0.000
0.000 0.000 0.000
0.250 0.500 0.750
0.250 0.750 0.500
0.500 0.250 0.750
0.500 0.750 0.250
0.750 0.250 0.500
0.750 0.500 0.250
```

---

No. 6
Calculated powder diffraction line list
Compound: NpAs3Ru5
Radiation: Cu Kα (weighted mean of Kα1 and Kα2)
Structure: the PBE geometry in Alexandria

Top 6 peaks for 10 to 80 degrees two-theta, by angle:
Position (°2θ)  I (rel.)
36.09  100
36.25  52
38.39  99
39.67  62
39.79  69
46.31  47

Cell and atoms:
```
NpAs3Ru5
1.0
1.487 -6.721 0.000
1.487 6.721 0.000
0.000 0.000 14.484
Np As Ru
2 6 10
direct
0.152 0.848 0.750
0.848 0.152 0.250
0.140 0.860 0.250
0.367 0.633 0.058
0.367 0.633 0.442
0.633 0.367 0.558
0.633 0.367 0.942
0.860 0.140 0.750
0.000 0.000 0.000
0.000 0.000 0.500
0.191 0.809 0.077
0.191 0.809 0.423
0.474 0.526 0.656
0.474 0.526 0.844
0.526 0.474 0.156
0.526 0.474 0.344
0.809 0.191 0.577
0.809 0.191 0.923
```

---

No. 7
Calculated powder diffraction line list
Compound: NpVAs2Ru
Radiation: Cu Kα (weighted mean of Kα1 and Kα2)
Structure: the PBE geometry in Alexandria

Top 6 peaks for 10 to 80 degrees two-theta, by angle:
Position (°2θ)  I (rel.)
23.93  29
32.46  94
35.85  100
45.32  44
46.25  46
57.64  37

Cell and atoms:
```
NpVAs2Ru
1.0
-1.963 1.963 5.815
1.963 -1.963 5.815
1.963 1.963 -5.815
Np V As Ru
1 1 2 1
direct
0.000 0.000 0.000
0.750 0.250 0.500
0.380 0.380 0.000
0.620 0.620 0.000
0.250 0.750 0.500
```

---

No. 8
Calculated powder diffraction line list
Compound: Np3ScAs4
Radiation: Cu Kα (weighted mean of Kα1 and Kα2)
Structure: the PBE geometry in Alexandria

Top 6 peaks for 10 to 80 degrees two-theta, by angle:
Position (°2θ)  I (rel.)
26.89  31
31.15  100
44.63  75
52.88  16
55.43  27
73.80  34

Cell and atoms:
```
Np3ScAs4
1.0
5.742 0.000 0.000
0.000 5.742 0.000
0.000 0.000 5.742
Np Sc As
3 1 4
direct
0.000 0.000 0.500
0.000 0.500 0.000
0.500 0.000 0.000
0.500 0.500 0.500
0.000 0.000 0.000
0.000 0.500 0.500
0.500 0.000 0.500
0.500 0.500 0.000
```